[1]
# Nd3Si2Pd2
Computed powder diffraction line list, Cu Ka. Input: the GGA-PBE geometry in Alexandria.
Neutral-atom scattering factors, no anomalous dispersion.

Structure:
```
Nd3Si2Pd2
1.0
5.764 0.000 0.000
0.000 8.140 0.000
0.000 0.000 13.328
Nd Si Pd
12 8 8
Cartesian
0.735 0.871 1.388 Nd
0.735 0.871 5.276 Nd
0.735 3.199 8.051 Nd
0.735 3.199 11.940 Nd
2.060 6.085 3.332 Nd
2.060 6.126 9.996 Nd
3.704 2.015 3.332 Nd
3.704 2.056 9.996 Nd
5.029 4.941 1.388 Nd
5.029 4.941 5.276 Nd
5.029 7.269 8.051 Nd
5.029 7.269 11.940 Nd
0.892 0.840 9.996 Si
0.892 3.230 3.332 Si
1.929 6.105 0.000 Si
1.929 6.105 6.664 Si
3.834 2.035 0.000 Si
3.834 2.035 6.664 Si
4.871 4.910 9.996 Si
4.871 7.301 3.332 Si
2.213 0.351 7.877 Pd
2.213 0.351 12.114 Pd
2.213 3.719 1.213 Pd
2.213 3.719 5.450 Pd
3.550 4.421 7.877 Pd
3.550 4.421 12.114 Pd
3.550 7.789 1.213 Pd
3.550 7.789 5.450 Pd
```

Principal peaks in the range 15° ≤ 2θ ≤ 90°, by intensity:
2θ (°), intensity
33.67, 1000
38.86, 984
32.96, 910
36.60, 610
34.80, 406
40.62, 348
25.65, 307
23.15, 289
27.65, 281
59.28, 213
55.81, 208
47.37, 206


[2]
# Tb10Ho4Pu
Computed powder diffraction line list, Cu Ka. Input: the GGA-PBE geometry in Alexandria.
Neutral-atom scattering factors, no anomalous dispersion.

Structure:
```
Tb10Ho4Pu
1.0
-4.838 4.838 5.216
4.838 -4.838 5.216
4.838 4.838 -5.216
Tb Ho Pu
10 4 1
Cartesian
2.056 -1.103 1.662 Tb
5.941 -2.782 3.555 Tb
4.838 0.000 2.608 Tb
7.621 1.103 1.662 Tb
1.103 2.056 1.662 Tb
3.736 2.782 3.555 Tb
-2.782 3.736 3.555 Tb
0.000 4.838 2.608 Tb
-1.103 7.621 1.662 Tb
2.782 5.941 3.555 Tb
4.214 1.663 0.000 Ho
3.175 -0.625 5.216 Ho
1.663 5.463 0.000 Ho
0.625 3.175 5.216 Ho
0.000 0.000 5.216 Pu
```

Principal peaks in the range 15° ≤ 2θ ≤ 90°, by intensity:
2θ (°), intensity
29.18, 1000
33.97, 961
28.97, 918
27.25, 918
33.04, 816
34.51, 449
42.55, 361
41.74, 340
45.38, 328
39.24, 288
61.32, 257
58.71, 232


[3]
# La4TbPrNd2
Computed powder diffraction line list, Cu Ka. Input: the GGA-PBE geometry in Alexandria.
Neutral-atom scattering factors, no anomalous dispersion.

Structure:
```
La4TbPrNd2
1.0
5.247 0.000 0.000
0.000 5.273 0.000
-0.011 0.000 10.347
La Tb Pr Nd
4 1 1 2
Cartesian
-0.001 0.000 2.562 La
5.237 0.000 7.786 La
2.611 2.636 7.783 La
2.624 2.636 2.565 La
2.623 0.000 0.000 Tb
-0.006 2.636 5.174 Pr
0.000 2.636 0.000 Nd
2.618 0.000 5.174 Nd
```

Principal peaks in the range 15° ≤ 2θ ≤ 90°, by intensity:
2θ (°), intensity
29.58, 1000
34.00, 173
34.18, 171
34.68, 164
58.15, 148
58.39, 146
59.04, 141
61.40, 125
48.98, 124
49.36, 121
49.49, 120
79.50, 59


[4]
# CaCeTcO6
Computed powder diffraction line list, Cu Ka. Input: the GGA-PBE geometry in Alexandria.
Neutral-atom scattering factors, no anomalous dispersion.

Structure:
```
CaCeTcO6
1.0
5.589 0.000 0.000
-2.794 4.840 0.000
0.000 0.000 9.616
Ca Ce Tc O
2 2 2 12
Cartesian
0.000 0.000 0.000 Ca
0.000 0.000 4.808 Ca
0.000 3.227 2.404 Ce
2.794 1.613 7.212 Ce
0.000 3.227 7.212 Tc
2.794 1.613 2.404 Tc
-0.828 1.837 6.145 O
-1.617 3.205 8.279 O
0.828 1.837 8.279 O
-0.790 4.638 6.145 O
2.005 0.202 1.337 O
1.177 1.635 3.471 O
1.617 3.205 6.145 O
0.790 4.638 8.279 O
3.584 0.202 3.471 O
1.967 3.003 1.337 O
4.412 1.635 1.337 O
3.622 3.003 3.471 O
```

Principal peaks in the range 15° ≤ 2θ ≤ 90°, by intensity:
2θ (°), intensity
26.12, 1000
18.45, 660
37.21, 633
50.05, 619
32.03, 600
18.33, 324
41.79, 261
53.60, 254
57.09, 242
60.54, 153
79.32, 143
67.36, 124